(1)
Diffraction record for Sr2La2MnCuO8. The PXRD pattern is computed, not measured: it uses DFT lattice parameters and positions (GGA+U) and Cu Kα, 1.54184 Å.
Neutral-atom scattering factors, no anomalous dispersion.

Atomic structure:
Cell: 3.8610 3.8610 12.8642 Å, 90.00 90.00 90.00°
Space group P4/mmm (No. 123)
Unique sites:
Sr: 0.0000 0.0000 0.1432 x2
La: 0.5000 0.5000 0.3597 x2
Mn: 0.5000 0.5000 0.0000 x1
Cu: 0.0000 0.0000 0.5000 x1
O: 0.0000 0.0000 0.3408 x2
O: 0.0000 0.5000 0.0000 x2
O: 0.0000 0.5000 0.5000 x2
O: 0.5000 0.5000 0.1856 x2

Main lines, low angle first (2θ from 5° to 70°):
- 6.87°, rel. 215, hkl 0 0 1
- 24.07°, rel. 138, hkl 1 0 1
- 31.17°, rel. 1000, hkl 1 0 3
- 32.80°, rel. 685, hkl 1 1 0
- 42.18°, rel. 291, hkl 0 0 6
- 43.48°, rel. 259, hkl 1 1 4
- 47.07°, rel. 358, hkl 2 0 0
- 54.41°, rel. 136, hkl 1 1 6
- 57.54°, rel. 357, hkl 2 1 3
- 65.03°, rel. 207, hkl 2 0 6

(2)
Diffraction record for Li9Mn2Co5O16. The PXRD pattern is computed, not measured: it uses DFT lattice parameters and positions (GGA+U) and Cu Kα, 1.54184 Å.
Neutral-atom scattering factors, no anomalous dispersion.

Atomic structure:
Cell: 5.9138 6.4503 8.6023 Å, 83.08 70.46 65.95°
Space group P1 (No. 1)
Unique sites:
Li: 0.0000 0.0000 0.0000 x1
Li: 0.0046 0.4980 0.5068 x1
Li: 0.4964 0.4949 0.5030 x1
Li: 0.5034 0.0013 0.9963 x1
Li: 0.5104 0.7521 0.7471 x1
Li: 0.5178 0.2452 0.2530 x1
Li: 0.7512 0.0003 0.5034 x1
Li: 0.9869 0.2434 0.2555 x1
Li: 0.9934 0.7494 0.7507 x1
Mn: 0.2532 0.9992 0.5040 x1
Mn: 0.7480 0.7531 0.2524 x1
Co: 0.2392 0.7550 0.2531 x1
Co: 0.2481 0.4991 0.0006 x1
Co: 0.2667 0.2411 0.7496 x1
Co: 0.7503 0.4964 0.0009 x1
Co: 0.7537 0.2449 0.7507 x1
O: 0.0949 0.5295 0.2445 x1
O: 0.1405 0.2619 0.9903 x1
O: 0.1433 0.7582 0.4833 x1
O: 0.1523 0.0003 0.7386 x1
O: 0.3579 0.7338 0.0189 x1
O: 0.3631 0.2405 0.5131 x1
O: 0.3639 0.4877 0.7628 x1
O: 0.3931 0.9774 0.2603 x1
O: 0.6063 0.7637 0.4874 x1
O: 0.6313 0.2652 0.9923 x1
O: 0.6350 0.0162 0.7513 x1
O: 0.6370 0.5078 0.2390 x1
O: 0.8584 0.7374 0.0123 x1
O: 0.8644 0.4830 0.7646 x1
O: 0.8688 0.9837 0.2487 x1
O: 0.9107 0.2245 0.5115 x1

Main lines, low angle first (2θ from 5° to 70°):
- 18.46°, rel. 1000, hkl 0 1 -1
- 35.01°, rel. 170, hkl 2 0 0
- 36.71°, rel. 118, hkl 2 2 2
- 36.86°, rel. 117, hkl 0 1 3
- 37.46°, rel. 82, hkl 0 2 -2
- 42.12°, rel. 306, hkl 2 -1 1
- 44.69°, rel. 506, hkl 2 3 1
- 58.80°, rel. 94, hkl 2 4 0
- 62.94°, rel. 148, hkl 4 2 2
- 65.79°, rel. 88, hkl 2 3 5

(3)
Diffraction record for SrNiP2O7. The PXRD pattern is computed, not measured: it uses DFT lattice parameters and positions (GGA+U) and Cu Kα, 1.54184 Å.
Neutral-atom scattering factors, no anomalous dispersion.

Atomic structure:
Cell: 5.3308 8.3356 13.8503 Å, 90.00 112.51 90.00°
Space group P2_1/c (No. 14)
Unique sites:
Sr: 0.0036 0.1587 0.2184 x4
Ni: 0.2995 0.6489 0.6125 x4
P: 0.3259 0.1964 0.0175 x4
P: 0.4113 0.0370 0.6642 x4
O: 0.0987 0.1828 0.9085 x4
O: 0.1872 0.0614 0.7055 x4
O: 0.2693 0.0961 0.1006 x4
O: 0.3126 0.1165 0.5493 x4
O: 0.3225 0.6220 0.7661 x4
O: 0.3862 0.6660 0.4791 x4
O: 0.4771 0.6383 0.1520 x4

Main lines, low angle first (2θ from 5° to 70°):
- 12.67°, rel. 306, hkl 0 1 1
- 26.75°, rel. 1000, hkl 1 0 2
- 27.16°, rel. 602, hkl 1 2 -1
- 28.89°, rel. 649, hkl 1 1 -4
- 29.96°, rel. 351, hkl 0 2 3
- 30.62°, rel. 387, hkl 1 2 -3
- 32.99°, rel. 351, hkl 0 3 1
- 33.62°, rel. 431, hkl 2 0 -2
- 43.82°, rel. 317, hkl 0 1 6
- 45.63°, rel. 328, hkl 2 2 1

(4)
Diffraction record for Ca2Al2FeSi3HO13. The PXRD pattern is computed, not measured: it uses DFT lattice parameters and positions (GGA+U) and Cu Kα, 1.54184 Å.
Neutral-atom scattering factors, no anomalous dispersion.

Atomic structure:
Cell: 9.0083 5.7150 10.2594 Å, 90.00 115.37 90.00°
Space group P2_1/m (No. 11)
Unique sites:
Ca: 0.1063 0.2500 0.4238 x2
Ca: 0.2551 0.2500 0.1511 x2
Al: 0.5000 0.0000 0.0000 x2
Al: 0.5000 0.0000 0.5000 x2
Fe: 0.2061 0.2500 0.7757 x2
Si: 0.1612 0.7500 0.9526 x2
Si: 0.1860 0.7500 0.2749 x2
Si: 0.3161 0.7500 0.6810 x2
H: 0.4451 0.2500 0.6743 x2
O: 0.0145 0.2500 0.1815 x2
O: 0.0285 0.7500 0.3109 x2
O: 0.1255 0.7500 0.0983 x2
O: 0.1955 0.5194 0.6427 x4
O: 0.2672 0.5067 0.9605 x4
O: 0.2965 0.5138 0.3384 x4
O: 0.4164 0.2500 0.5701 x2
O: 0.4325 0.7500 0.5918 x2
O: 0.4487 0.2500 0.8717 x2
O: 0.4582 0.7500 0.8540 x2

Main lines, low angle first (2θ from 5° to 70°):
- 17.50°, rel. 277, hkl 1 0 -2
- 21.84°, rel. 228, hkl 2 0 0
- 25.18°, rel. 362, hkl 2 1 -1
- 30.49°, rel. 1000, hkl 1 1 -3
- 31.30°, rel. 446, hkl 0 2 0
- 32.98°, rel. 540, hkl 3 0 0
- 34.02°, rel. 461, hkl 3 1 -1
- 36.95°, rel. 616, hkl 3 1 -3
- 57.43°, rel. 225, hkl 4 0 -6
- 65.31°, rel. 252, hkl 0 4 0

(5)
Diffraction record for Y2V2O7. The PXRD pattern is computed, not measured: it uses DFT lattice parameters and positions (GGA+U) and Cu Kα, 1.54184 Å.
Neutral-atom scattering factors, no anomalous dispersion.

Atomic structure:
Cell: 6.7200 9.5403 5.2431 Å, 90.00 100.69 90.00°
Space group C2/m (No. 12)
Unique sites:
Y: 0.0000 0.1880 0.0000 x4
V: 0.2433 0.5000 0.4011 x4
O: 0.0000 0.5000 0.5000 x2
O: 0.0808 0.0000 0.2789 x4
O: 0.2291 0.3387 0.2072 x8

Main lines, low angle first (2θ from 5° to 70°):
- 16.33°, rel. 263, hkl 1 1 0
- 17.21°, rel. 184, hkl 0 0 1
- 25.45°, rel. 1000, hkl 0 2 1
- 25.59°, rel. 430, hkl 1 1 1
- 29.30°, rel. 443, hkl 2 0 -1
- 31.22°, rel. 218, hkl 1 3 0
- 32.99°, rel. 231, hkl 2 2 0
- 34.86°, rel. 184, hkl 2 0 1
- 37.11°, rel. 175, hkl 1 3 1
- 49.45°, rel. 285, hkl 1 3 2

What is the formula in the third record?
SrNiP2O7